Record 1
Structure and theoretical X-ray powder pattern of La3Pm2Y13 (a cell relaxed with PBE; λ = 1.5418 Å (Cu Kα)).
Kinematic intensities with the Lorentz-polarization factor, no thermal factor.

Most intense lines, 10 to 90 degrees two-theta, in order of rising 2θ:
h k l  2θ (°)  I/Imax
1 1 0  27.09  26
0 0 6  30.94  34
1 1 3  31.27  100
2 0 0  31.38  22
2 0 3  35.10  22
3 0 3  50.55  26
1 1 9  55.24  19
2 2 6  65.23  23

Structural model:
```
data_La3Pm2Y13
_space_group_name_H-M_alt 'P 6/m m m'
_space_group_IT_number 191
_space_group_name_Hall '-P 6 2'
_cell_length_a 6.5836
_cell_length_b 6.5836
_cell_length_c 17.3413
_cell_angle_alpha 90.00
_cell_angle_beta 90.00
_cell_angle_gamma 120.00
loop_
_atom_site_label
_atom_site_type_symbol
_atom_site_fract_x
_atom_site_fract_y
_atom_site_fract_z
La1 La 0.0000 0.0000 0.0000
La2 La 0.0000 0.0000 0.3320
Pm1 Pm 0.3333 0.6667 0.0000
Y1 Y 0.0000 0.5000 0.1676
Y2 Y 0.0000 0.5000 0.5000
Y3 Y 0.3333 0.6667 0.3338
```

Record 2
Structure and theoretical X-ray powder pattern of PuAl3 (a cell relaxed with PBE; λ = 1.5418 Å (Cu Kα)).
Kinematic intensities with the Lorentz-polarization factor, no thermal factor.

Most intense lines, 10 to 90 degrees two-theta, in order of rising 2θ:
h k l  2θ (°)  I/Imax
1 0 0  20.83  100
1 1 0  29.62  86
1 1 1  36.49  78
2 0 0  42.39  39
2 1 0  47.68  49
2 1 1  52.56  37
2 2 0  61.50  26
3 1 1  73.67  31

Structural model:
```
data_PuAl3
_space_group_name_H-M_alt 'P m -3 m'
_space_group_IT_number 221
_space_group_name_Hall '-P 4 2 3'
_cell_length_a 4.265
_cell_length_b 4.265
_cell_length_c 4.265
_cell_angle_alpha 90.00
_cell_angle_beta 90.00
_cell_angle_gamma 90.00
loop_
_atom_site_label
_atom_site_type_symbol
_atom_site_fract_x
_atom_site_fract_y
_atom_site_fract_z
Pu1 Pu 0.000 0.000 0.000
Al1 Al 0.000 0.500 0.500
```

Record 3
Structure and theoretical X-ray powder pattern of Sc4Al3Hg (a cell relaxed with PBE; λ = 1.5418 Å (Cu Kα)).
Kinematic intensities with the Lorentz-polarization factor, no thermal factor.

Most intense lines, 10 to 90 degrees two-theta, in order of rising 2θ:
h k l  2θ (°)  I/Imax
0 0 2  12.51  41
0 0 3  18.81  16
1 0 1  27.30  33
1 0 2  29.45  29
1 0 3  32.74  27
1 0 4  36.91  100
1 1 0  37.90  48
2 1 4  67.81  32

Structural model:
```
data_Sc4Al3Hg
_space_group_name_H-M_alt 'P 4/m m m'
_space_group_IT_number 123
_space_group_name_Hall '-P 4 2'
_cell_length_a 3.357
_cell_length_b 3.357
_cell_length_c 14.152
_cell_angle_alpha 90.00
_cell_angle_beta 90.00
_cell_angle_gamma 90.00
loop_
_atom_site_label
_atom_site_type_symbol
_atom_site_fract_x
_atom_site_fract_y
_atom_site_fract_z
Sc1 Sc 0.000 0.000 0.119
Sc2 Sc 0.000 0.000 0.363
Al1 Al 0.500 0.500 0.000
Al2 Al 0.500 0.500 0.241
Hg1 Hg 0.500 0.500 0.500
```